This entry pairs a crystal structure of Zr3Ni3As4 with its calculated powder diffractogram. Radiation: copper Kα. Structure: the PBE geometry in Alexandria.
No peak broadening, texture or thermal motion is included.

Crystal structure
```
data_Zr3Ni3As4
_chemical_formula_sum 'Zr12 Ni12 As16'
_space_group_name_H-M_alt 'I -4 3 d'
_space_group_IT_number 220
_space_group_name_Hall 'I -4bd 2c 3'
_cell_length_a 8.694
_cell_length_b 8.694
_cell_length_c 8.694
_cell_angle_alpha 90.00
_cell_angle_beta 90.00
_cell_angle_gamma 90.00
loop_
_atom_site_label
_atom_site_type_symbol
_atom_site_fract_x
_atom_site_fract_y
_atom_site_fract_z
_atom_site_occupancy
Zr1 Zr 0.000 0.250 0.375 1
Ni1 Ni 0.000 0.250 0.875 1
As1 As 0.081 0.081 0.081 1
```

Main lines, sorted by position (15 to 90 degrees two-theta):
2θ 32.57, I 32
2θ 38.76, I 100
2θ 46.73, I 37
2θ 49.16, I 9
2θ 51.50, I 15
2θ 53.77, I 10
2θ 66.27, I 11
2θ 68.23, I 12
2θ 75.81, I 8
2θ 81.33, I 12

---

This entry pairs a crystal structure of ZnFe3Ir4 with its calculated powder diffractogram. Radiation: copper Kα. Structure: the PBE geometry in Alexandria.
No peak broadening, texture or thermal motion is included.

Crystal structure
```
data_ZnFe3Ir4
_chemical_formula_sum 'Zn2 Fe6 Ir8'
_space_group_name_H-M_alt 'P m m a'
_space_group_IT_number 51
_cell_length_a 8.649
_cell_length_b 5.533
_cell_length_c 4.500
_cell_angle_alpha 90.00
_cell_angle_beta 90.00
_cell_angle_gamma 90.00
loop_
_space_group_symop_operation_xyz
'x,y,z'
'-x,-y,-z'
'-x+1/2,-y,z'
'x+1/2,y,-z'
'x+1/2,-y,-z'
'-x+1/2,y,z'
'-x,y,-z'
'x,-y,z'
loop_
_atom_site_label
_atom_site_type_symbol
_atom_site_fract_x
_atom_site_fract_y
_atom_site_fract_z
_atom_site_occupancy
Zn1 Zn 0.000 0.000 0.000 1
Fe1 Fe 0.000 0.500 0.000 1
Fe2 Fe 0.250 0.000 0.358 1
Fe3 Fe 0.250 0.500 0.347 1
Ir1 Ir 0.000 0.255 0.500 1
Ir2 Ir 0.250 0.251 0.857 1
```

Main lines, sorted by position (15 to 90 degrees two-theta):
2θ 22.27, I 17
2θ 28.63, I 39
2θ 32.36, I 22
2θ 39.63, I 30
2θ 41.47, I 20
2θ 41.77, I 43
2θ 43.74, I 100
2θ 45.44, I 26
2θ 77.65, I 20
2θ 86.43, I 20